This entry pairs a crystal structure of TaCuPt6 with its calculated powder XRD pattern. Radiation: copper Kα. Structure: a cell relaxed with GGA-PBE.
No peak broadening, texture or thermal motion is included.

Principal peaks in the range 2θ from 10° to 90°, sorted by position:
d [Å], two_theta, intensity
3.952, 22.5, 3
2.794, 32.0, 2
2.281, 39.5, 100
1.976, 45.9, 49
1.397, 67.0, 27
1.395, 67.1, 5
1.192, 80.6, 26
1.191, 80.7, 13
1.142, 85.0, 6
1.140, 85.1, 6

Structure:
```
TaCuPt6
1.0
3.9523 -5.5820 0.0000
3.9523 5.5820 0.0000
0.0000 0.0000 11.1876
Ta Cu Pt
4 4 24
direct
0.0000 0.0000 0.2413 Ta
0.0000 0.0000 0.7587 Ta
0.2473 0.7527 0.5000 Ta
0.7527 0.2473 0.5000 Ta
0.2520 0.7480 0.0000 Cu
0.5000 0.5000 0.2444 Cu
0.5000 0.5000 0.7556 Cu
0.7480 0.2520 0.0000 Cu
0.0000 0.0000 0.0000 Pt
0.0000 0.0000 0.5000 Pt
0.1241 0.3739 0.1252 Pt
0.1241 0.3739 0.8748 Pt
0.1244 0.3753 0.3754 Pt
0.1244 0.3753 0.6246 Pt
0.2489 0.7511 0.2503 Pt
0.2489 0.7511 0.7497 Pt
0.3739 0.1241 0.1252 Pt
0.3739 0.1241 0.8748 Pt
0.3753 0.1244 0.3754 Pt
0.3753 0.1244 0.6246 Pt
0.5000 0.5000 0.0000 Pt
0.5000 0.5000 0.5000 Pt
0.6247 0.8756 0.3754 Pt
0.6247 0.8756 0.6246 Pt
0.6261 0.8759 0.1252 Pt
0.6261 0.8759 0.8748 Pt
0.7511 0.2489 0.2503 Pt
0.7511 0.2489 0.7497 Pt
0.8756 0.6247 0.3754 Pt
0.8756 0.6247 0.6246 Pt
0.8759 0.6261 0.1252 Pt
0.8759 0.6261 0.8748 Pt
```

---

This entry pairs a crystal structure of TbCu4Pt8 with its calculated powder XRD pattern. Radiation: copper Kα. Structure: a cell relaxed with GGA-PBE.
No peak broadening, texture or thermal motion is included.

Principal peaks in the range 2θ from 10° to 90°, sorted by position:
d [Å], two_theta, intensity
3.160, 28.2, 22
2.567, 34.9, 45
2.531, 35.5, 39
2.234, 40.4, 39
2.226, 40.5, 100
2.202, 41.0, 26
1.993, 45.5, 37
1.975, 45.9, 47
1.395, 67.1, 23
1.288, 73.5, 30

Structure:
```
TbCu4Pt8
1.0
-4.4685 4.4685 2.5308
4.4685 -4.4685 2.5308
4.4685 4.4685 -2.5308
Tb Cu Pt
1 4 8
direct
0.0000 0.0000 0.0000 Tb
0.0000 0.0000 0.5000 Cu
0.0000 0.5000 0.0000 Cu
0.5000 0.0000 0.0000 Cu
0.5000 0.5000 0.5000 Cu
0.0000 0.3451 0.3451 Pt
0.0000 0.6549 0.6549 Pt
0.2808 0.5000 0.7808 Pt
0.3451 0.0000 0.3451 Pt
0.5000 0.2808 0.7808 Pt
0.5000 0.7192 0.2192 Pt
0.6549 0.0000 0.6549 Pt
0.7192 0.5000 0.2192 Pt
```

---

This entry pairs a crystal structure of TbCu2Pt6 with its calculated powder XRD pattern. Radiation: copper Kα. Structure: a cell relaxed with GGA-PBE.
No peak broadening, texture or thermal motion is included.

Principal peaks in the range 2θ from 10° to 90°, sorted by position:
d [Å], two_theta, intensity
3.960, 22.5, 15
3.377, 26.4, 13
2.800, 32.0, 88
2.286, 39.4, 8
2.156, 41.9, 8
1.980, 45.8, 100
1.617, 57.0, 23
1.400, 66.8, 16
1.252, 76.0, 30
1.143, 84.8, 34

Structure:
```
TbCu2Pt6
1.0
0.0000 5.6002 5.6002
5.6002 0.0000 5.6002
5.6002 5.6002 0.0000
Tb Cu Pt
2 4 12
direct
0.1250 0.1250 0.1250 Tb
0.8750 0.8750 0.8750 Tb
0.0000 0.5000 0.5000 Cu
0.5000 0.0000 0.5000 Cu
0.5000 0.5000 0.0000 Cu
0.5000 0.5000 0.5000 Cu
0.1193 0.1193 0.6307 Pt
0.1193 0.6307 0.1193 Pt
0.1193 0.6307 0.6307 Pt
0.3693 0.3693 0.8807 Pt
0.3693 0.8807 0.3693 Pt
0.3693 0.8807 0.8807 Pt
0.6307 0.1193 0.1193 Pt
0.6307 0.1193 0.6307 Pt
0.6307 0.6307 0.1193 Pt
0.8807 0.3693 0.3693 Pt
0.8807 0.3693 0.8807 Pt
0.8807 0.8807 0.3693 Pt
```

---

This entry pairs a crystal structure of Tb12Cu6Pt with its calculated powder XRD pattern. Radiation: copper Kα. Structure: a cell relaxed with GGA-PBE.
No peak broadening, texture or thermal motion is included.

Principal peaks in the range 2θ from 10° to 90°, sorted by position:
d [Å], two_theta, intensity
3.849, 23.1, 37
3.353, 26.6, 100
3.109, 28.7, 19
2.850, 31.4, 37
2.666, 33.6, 71
2.392, 37.6, 76
2.350, 38.3, 85
1.696, 54.1, 24
1.664, 55.2, 28
1.117, 87.3, 19

Structure:
```
Tb12Cu6Pt
1.0
6.2181 3.5900 3.9411
-6.2181 3.5900 3.9411
0.0000 -7.1800 3.9411
Tb Cu Pt
12 6 1
direct
0.0453 0.9128 0.6745 Tb
0.0872 0.3255 0.9547 Tb
0.1873 0.5670 0.4146 Tb
0.3255 0.9547 0.0872 Tb
0.4146 0.1873 0.5670 Tb
0.4330 0.5854 0.8127 Tb
0.5670 0.4146 0.1873 Tb
0.5854 0.8127 0.4330 Tb
0.6745 0.0453 0.9128 Tb
0.8127 0.4330 0.5854 Tb
0.9128 0.6745 0.0453 Tb
0.9547 0.0872 0.3255 Tb
0.1316 0.3142 0.6231 Cu
0.3142 0.6231 0.1316 Cu
0.3769 0.8684 0.6858 Cu
0.6231 0.1316 0.3142 Cu
0.6858 0.3769 0.8684 Cu
0.8684 0.6858 0.3769 Cu
0.0000 0.0000 0.0000 Pt
```

---

This entry pairs a crystal structure of TbCu5Pt7 with its calculated powder XRD pattern. Radiation: copper Kα. Structure: a cell relaxed with GGA-PBE.
No peak broadening, texture or thermal motion is included.

Principal peaks in the range 2θ from 10° to 90°, sorted by position:
d [Å], two_theta, intensity
2.560, 35.1, 32
2.538, 35.4, 58
2.516, 35.7, 57
2.230, 40.5, 31
2.214, 40.8, 70
2.206, 40.9, 100
2.191, 41.2, 31
1.988, 45.6, 44
1.962, 46.3, 66
1.283, 73.9, 27

Structure:
```
TbCu5Pt7
1.0
-2.5159 4.4098 4.4599
2.5159 -4.4098 4.4599
2.5159 4.4098 -4.4599
Tb Cu Pt
1 5 7
direct
0.0000 0.0000 0.0000 Tb
0.0065 0.9999 0.5036 Cu
0.0065 0.5028 0.0066 Cu
0.2275 0.7275 0.5000 Cu
0.4962 0.9999 0.9934 Cu
0.4962 0.5028 0.4964 Cu
0.2159 0.5033 0.7126 Pt
0.3444 0.0007 0.3437 Pt
0.3448 0.3448 0.0000 Pt
0.6547 0.6547 0.0000 Pt
0.6571 0.0007 0.6563 Pt
0.7787 0.2787 0.5000 Pt
0.7907 0.5033 0.2874 Pt
```

---

This entry pairs a crystal structure of Tb2ZnCu2Pt5 with its calculated powder XRD pattern. Radiation: copper Kα. Structure: a cell relaxed with GGA-PBE.
No peak broadening, texture or thermal motion is included.

Principal peaks in the range 2θ from 10° to 90°, sorted by position:
d [Å], two_theta, intensity
3.890, 22.9, 17
2.849, 31.4, 34
2.520, 35.6, 20
2.355, 38.2, 100
2.269, 39.7, 55
2.205, 40.9, 17
2.158, 41.9, 44
2.092, 43.3, 15
1.945, 46.7, 31
1.477, 62.9, 29

Structure:
```
Tb2ZnCu2Pt5
1.0
9.3539 0.0000 0.0000
0.0000 9.3539 0.0000
0.0000 0.0000 3.8898
Tb Zn Cu Pt
4 2 4 10
direct
0.1755 0.3245 0.0000 Tb
0.3245 0.8245 0.0000 Tb
0.6755 0.1755 0.0000 Tb
0.8245 0.6755 0.0000 Tb
0.0000 0.0000 0.0000 Zn
0.5000 0.5000 0.0000 Zn
0.1226 0.6226 0.0000 Cu
0.3774 0.1226 0.0000 Cu
0.6226 0.8774 0.0000 Cu
0.8774 0.3774 0.0000 Cu
0.0000 0.5000 0.5000 Pt
0.0687 0.7969 0.5000 Pt
0.2031 0.0687 0.5000 Pt
0.2969 0.5687 0.5000 Pt
0.4313 0.2969 0.5000 Pt
0.5000 0.0000 0.5000 Pt
0.5687 0.7031 0.5000 Pt
0.7031 0.4313 0.5000 Pt
0.7969 0.9313 0.5000 Pt
0.9313 0.2031 0.5000 Pt
```